This entry pairs a crystal structure of Dy2Zn9Ni3 with its calculated powder X-ray diffraction pattern. Radiation: Cu Kα, 1.54184 Å. Structure: DFT lattice parameters and positions (PBE).
Intensities are scaled so that the largest is 100.

Structure:
a b c (Å): 13.1065 7.3204 10.2328
angles (deg): 90.00 115.94 90.00
Space group C2/c (No. 15)
Symmetry-distinct sites (fractional):
Dy (0.1686, 0.0789, 0.2403) x8
Zn (0.0000, 0.3536, 0.2500) x4
Zn (0.0590, 0.0963, 0.9176) x8
Zn (0.0960, 0.4191, 0.0432) x8
Zn (0.1050, 0.3235, 0.7435) x8
Zn (0.2197, 0.4155, 0.4338) x8
Ni (0.0891, 0.2244, 0.5032) x8
Ni (0.2500, 0.2500, 0.0000) x4

Principal peaks in the range 10 to 90 degrees two-theta, by intensity:
2.130 Å, 2θ 42.43, I 100, hkl 3 3 -1
2.363 Å, 2θ 38.08, I 71, hkl 3 1 2
2.351 Å, 2θ 38.29, I 69, hkl 0 2 3
2.386 Å, 2θ 37.69, I 66, hkl 3 1 -4
2.184 Å, 2θ 41.33, I 55, hkl 6 0 -2
2.300 Å, 2θ 39.16, I 38, hkl 0 0 4

This entry pairs a crystal structure of DyZn10Ni2 with its calculated powder X-ray diffraction pattern. Radiation: Cu Kα, 1.54184 Å. Structure: DFT lattice parameters and positions (PBE).
Intensities are scaled so that the largest is 100.

Structure:
a b c (Å): 8.7915 10.2443 8.6589
angles (deg): 90.00 90.00 90.00
Space group Cmcm (No. 63)
Symmetry-distinct sites (fractional):
Dy (0.0000, 0.1267, 0.2500) x4
Zn (0.0000, 0.1520, 0.5992) x8
Zn (0.0000, 0.3752, 0.0434) x8
Zn (0.1527, 0.3725, 0.7500) x8
Zn (0.2271, 0.0000, 0.0000) x8
Zn (0.2291, 0.3694, 0.2500) x8
Ni (0.2500, 0.2500, 0.0000) x8

Principal peaks in the range 10 to 90 degrees two-theta, by intensity:
2.183 Å, 2θ 41.37, I 100, hkl 2 2 3
1.970 Å, 2θ 46.08, I 74, hkl 2 4 2
2.361 Å, 2θ 38.11, I 73, hkl 3 1 2
2.204 Å, 2θ 40.94, I 69, hkl 0 4 2
2.198 Å, 2θ 41.07, I 55, hkl 4 0 0
2.213 Å, 2θ 40.78, I 55, hkl 2 4 0

This entry pairs a crystal structure of Dy2ZrNi9 with its calculated powder X-ray diffraction pattern. Radiation: Cu Kα, 1.54184 Å. Structure: DFT lattice parameters and positions (PBE).
Intensities are scaled so that the largest is 100.

Structure:
a b c (Å): 4.8901 4.8901 16.2648
angles (deg): 90.00 90.00 120.00
Space group P6_3/mmc (No. 194)
Symmetry-distinct sites (fractional):
Dy (0.3333, 0.6667, 0.0438) x4
Zr (0.3333, 0.6667, 0.2500) x2
Ni (0.0000, 0.0000, 0.0000) x2
Ni (0.0000, 0.0000, 0.2500) x2
Ni (0.1668, 0.3337, 0.6282) x12
Ni (0.3333, 0.6667, 0.7500) x2

Principal peaks in the range 10 to 90 degrees two-theta, by intensity:
2.097 Å, 2θ 43.15, I 100, hkl 1 1 4
2.580 Å, 2θ 34.78, I 62, hkl 1 0 5
2.445 Å, 2θ 36.76, I 42, hkl 1 1 0
1.972 Å, 2θ 46.02, I 31, hkl 2 0 3
2.036 Å, 2θ 44.50, I 28, hkl 0 0 8
1.436 Å, 2θ 64.93, I 20, hkl 2 1 5

This entry pairs a crystal structure of DyNp2O7 with its calculated powder X-ray diffraction pattern. Radiation: Cu Kα, 1.54184 Å. Structure: DFT lattice parameters and positions (PBE).
Intensities are scaled so that the largest is 100.

Structure:
a b c (Å): 3.8105 3.8105 30.5465
angles (deg): 90.00 90.00 120.00
Space group R-3m (No. 166, hexagonal axes)
Symmetry-distinct sites (fractional):
Dy (0.0000, 0.0000, 0.0000) x3
Np (0.0000, 0.0000, 0.4325) x6
O (0.0000, 0.0000, 0.0774) x6
O (0.0000, 0.0000, 0.2199) x6
O (0.0000, 0.0000, 0.3621) x6
O (0.0000, 0.0000, 0.5000) x3

Principal peaks in the range 10 to 90 degrees two-theta, by intensity:
3.226 Å, 2θ 27.66, I 100, hkl 0 1 2
2.632 Å, 2θ 34.06, I 68, hkl 1 0 7
1.905 Å, 2θ 47.74, I 56, hkl 1 1 0
2.904 Å, 2θ 30.79, I 56, hkl 0 1 5
3.394 Å, 2θ 26.26, I 48, hkl 0 0 9
1.820 Å, 2θ 50.12, I 44, hkl 0 1 14

This entry pairs a crystal structure of DyNpO6 with its calculated powder X-ray diffraction pattern. Radiation: Cu Kα, 1.54184 Å. Structure: DFT lattice parameters and positions (PBE).
Intensities are scaled so that the largest is 100.

Structure:
a b c (Å): 5.7577 6.8843 5.5450
angles (deg): 90.00 108.17 90.00
Space group C2/m (No. 12)
Symmetry-distinct sites (fractional):
Dy (0.0000, 0.0000, 0.0000) x2
Np (0.0000, 0.5000, 0.5000) x2
O (0.0904, 0.0000, 0.4416) x4
O (0.1228, 0.3194, 0.7798) x8

Principal peaks in the range 10 to 90 degrees two-theta, by intensity:
3.810 Å, 2θ 23.35, I 100, hkl 1 1 -1
2.986 Å, 2θ 29.93, I 40, hkl 1 1 1
3.442 Å, 2θ 25.88, I 38, hkl 0 2 0
2.092 Å, 2θ 43.25, I 28, hkl 0 2 2
2.735 Å, 2θ 32.74, I 24, hkl 2 0 0
2.141 Å, 2θ 42.20, I 24, hkl 2 2 0

This entry pairs a crystal structure of DyNp2O11 with its calculated powder X-ray diffraction pattern. Radiation: Cu Kα, 1.54184 Å. Structure: DFT lattice parameters and positions (PBE).
Intensities are scaled so that the largest is 100.

Structure:
a b c (Å): 13.7965 8.3412 10.7599
angles (deg): 90.00 127.70 90.00
Space group C2 (No. 5)
Symmetry-distinct sites (fractional):
Dy (0.0000, 0.0000, 0.0000) x2
Dy (0.0000, 0.3020, 0.5000) x2
Np (0.2424, 0.0426, 0.4874) x4
Np (0.2489, 0.2190, 0.9732) x4
O (0.1022, 0.1000, 0.4700) x4
O (0.1031, 0.1539, 0.9429) x4
O (0.1082, 0.8047, 0.9922) x4
O (0.1086, 0.4886, 0.4752) x4
O (0.1506, 0.0372, 0.2598) x4
O (0.1514, 0.2811, 0.7575) x4
O (0.1584, 0.6332, 0.8300) x4
O (0.1594, 0.5386, 0.2331) x4
O (0.1974, 0.4128, 0.1959) x4
O (0.2169, 0.7943, 0.4931) x4
O (0.2260, 0.4544, 0.0968) x4

Principal peaks in the range 10 to 90 degrees two-theta, by intensity:
3.568 Å, 2θ 24.95, I 100, hkl 2 2 -1
4.257 Å, 2θ 20.87, I 87, hkl 0 0 2
5.458 Å, 2θ 16.24, I 51, hkl 2 0 0
3.447 Å, 2θ 25.85, I 47, hkl 4 0 -2
1.843 Å, 2θ 49.46, I 37, hkl 4 0 2
2.709 Å, 2θ 33.07, I 35, hkl 2 2 -3